Computed powder XRD pattern of NpTaMn4 for CuKα, from a DFT-relaxed cell (PBE, Alexandria).
Neutral-atom scattering factors, no anomalous dispersion.

Crystal structure
Cell lengths 4.9249, 4.9249, 4.9249 Å; angles 60.00, 60.00, 60.00 degrees
Element x y z (fractional)
1 Np 0.0000 0.0000 0.0000
2 Ta 0.7500 0.7500 0.7500
3 Mn 0.3755 0.3755 0.3755
4 Mn 0.3755 0.3755 0.8735
5 Mn 0.3755 0.8735 0.3755
6 Mn 0.8735 0.3755 0.3755

Top 10 peaks for 10 to 80 degrees two-theta, in order of rising 2θ:
2θ = 22.11°, intensity 358
2θ = 25.58°, intensity 17
2θ = 36.49°, intensity 821
2θ = 43.07°, intensity 1000
2θ = 45.09°, intensity 92
2θ = 52.56°, intensity 34
2θ = 57.69°, intensity 96
2θ = 65.67°, intensity 305
2θ = 70.22°, intensity 308
2θ = 77.53°, intensity 211

***

Computed powder XRD pattern of AcLa6Tb2Pr for CuKα, from a DFT-relaxed cell (PBE, Alexandria).
Neutral-atom scattering factors, no anomalous dispersion.

Crystal structure
Cell lengths 9.1274, 9.1274, 10.1133 Å; angles 94.12, 94.12, 117.48 degrees
Element x y z (fractional)
1 Ac 0.0253 0.9747 0.7500
2 Ac 0.9747 0.0253 0.2500
3 La 0.0122 0.5547 0.6839
4 La 0.1090 0.7485 0.0514
5 La 0.2515 0.8910 0.4486
6 La 0.2976 0.5068 0.8778
7 La 0.4453 0.9878 0.8161
8 La 0.4932 0.7024 0.6222
9 La 0.5068 0.2976 0.3778
10 La 0.5547 0.0122 0.1839
11 La 0.7024 0.4932 0.1222
12 La 0.7485 0.1090 0.5514
13 La 0.8910 0.2515 0.9486
14 La 0.9878 0.4453 0.3161
15 Tb 0.1974 0.2989 0.5456
16 Tb 0.2989 0.1974 0.0456
17 Tb 0.7011 0.8026 0.9544
18 Tb 0.8026 0.7011 0.4544
19 Pr 0.4068 0.5932 0.2500
20 Pr 0.5932 0.4068 0.7500

Top 10 peaks for 10 to 80 degrees two-theta, in order of rising 2θ:
2θ = 26.74°, intensity 223
2θ = 27.36°, intensity 418
2θ = 29.09°, intensity 428
2θ = 29.28°, intensity 424
2θ = 30.14°, intensity 1000
2θ = 30.34°, intensity 351
2θ = 31.12°, intensity 267
2θ = 32.15°, intensity 473
2θ = 36.28°, intensity 149
2θ = 50.91°, intensity 206

***

Computed powder XRD pattern of Ba2NpCu2Se6 for CuKα, from a DFT-relaxed cell (PBE, Alexandria).
Neutral-atom scattering factors, no anomalous dispersion.

Crystal structure
Cell lengths 7.7073, 7.7073, 7.7073 Å; angles 59.65, 59.65, 59.65 degrees
Element x y z (fractional)
1 Ba 0.2326 0.2326 0.2326
2 Ba 0.7674 0.7674 0.7674
3 Np 0.0000 0.0000 0.0000
4 Cu 0.4277 0.4277 0.4277
5 Cu 0.5723 0.5723 0.5723
6 Se 0.2306 0.7530 0.7530
7 Se 0.2470 0.2470 0.7694
8 Se 0.2470 0.7694 0.2470
9 Se 0.7530 0.2306 0.7530
10 Se 0.7530 0.7530 0.2306
11 Se 0.7694 0.2470 0.2470

Top 10 peaks for 10 to 80 degrees two-theta, in order of rising 2θ:
2θ = 16.31°, intensity 314
2θ = 23.21°, intensity 666
2θ = 27.11°, intensity 329
2θ = 28.49°, intensity 312
2θ = 32.96°, intensity 1000
2θ = 35.98°, intensity 263
2θ = 40.74°, intensity 263
2θ = 43.26°, intensity 309
2θ = 47.17°, intensity 244
2θ = 47.44°, intensity 524

***

Computed powder XRD pattern of Sn8Te3Se4 for CuKα, from a DFT-relaxed cell (PBE, Alexandria).
Neutral-atom scattering factors, no anomalous dispersion.

Crystal structure
Cell lengths 8.7127, 8.7127, 8.6447 Å; angles 119.73, 119.73, 89.97 degrees
Element x y z (fractional)
1 Sn 0.2435 0.2435 0.9999
2 Sn 0.2447 0.7553 0.0000
3 Sn 0.2522 0.2522 0.4861
4 Sn 0.2520 0.7480 0.5000
5 Sn 0.7480 0.2520 0.5000
6 Sn 0.7478 0.7478 0.5139
7 Sn 0.7553 0.2447 0.0000
8 Sn 0.7565 0.7565 0.0001
9 Te 0.0000 0.5000 0.5000
10 Te 0.5000 0.0000 0.5000
11 Te 0.5000 0.5000 0.0000
12 Se 0.0000 0.0000 0.0000
13 Se 0.0000 0.0000 0.5000
14 Se 0.0000 0.5000 0.0000
15 Se 0.5000 0.0000 0.0000

Top 10 peaks for 10 to 80 degrees two-theta, in order of rising 2θ:
2θ = 28.98°, intensity 1000
2θ = 41.09°, intensity 131
2θ = 41.46°, intensity 508
2θ = 41.80°, intensity 122
2θ = 51.07°, intensity 140
2θ = 51.67°, intensity 132
2θ = 60.07°, intensity 127
2θ = 68.06°, intensity 235
2θ = 75.12°, intensity 90
2θ = 76.08°, intensity 83

***

Computed powder XRD pattern of LaSi7Ru3 for CuKα, from a DFT-relaxed cell (PBE, Alexandria).
Neutral-atom scattering factors, no anomalous dispersion.

Crystal structure
Cell lengths 8.0765, 8.0765, 8.0765 Å; angles 56.88, 56.88, 56.88 degrees
Element x y z (fractional)
1 La 0.0000 0.0000 0.0000
2 La 0.5000 0.5000 0.5000
3 Si 0.0580 0.8535 0.6693
4 Si 0.1465 0.3307 0.9420
5 Si 0.1693 0.3535 0.5580
6 Si 0.2500 0.2500 0.2500
7 Si 0.3307 0.9420 0.1465
8 Si 0.3535 0.5580 0.1693
9 Si 0.4420 0.8307 0.6465
10 Si 0.5580 0.1693 0.3535
11 Si 0.6465 0.4420 0.8307
12 Si 0.6693 0.0580 0.8535
13 Si 0.7500 0.7500 0.7500
14 Si 0.8307 0.6465 0.4420
15 Si 0.8535 0.6693 0.0580
16 Si 0.9420 0.1465 0.3307
17 Ru 0.0786 0.7500 0.4214
18 Ru 0.2500 0.5786 0.9214
19 Ru 0.4214 0.0786 0.7500
20 Ru 0.5786 0.9214 0.2500
21 Ru 0.7500 0.4214 0.0786
22 Ru 0.9214 0.2500 0.5786

Top 10 peaks for 10 to 80 degrees two-theta, in order of rising 2θ:
2θ = 15.93°, intensity 208
2θ = 26.68°, intensity 1000
2θ = 35.40°, intensity 586
2θ = 38.05°, intensity 207
2θ = 40.00°, intensity 333
2θ = 40.63°, intensity 548
2θ = 46.80°, intensity 441
2θ = 49.27°, intensity 359
2θ = 70.06°, intensity 276
2θ = 70.55°, intensity 211

***

Computed powder XRD pattern of Tb4Se3O2 for CuKα, from a DFT-relaxed cell (PBE, Alexandria).
Neutral-atom scattering factors, no anomalous dispersion.

Crystal structure
Cell lengths 6.6980, 6.6980, 8.7900 Å; angles 120.40, 120.40, 33.79 degrees
Element x y z (fractional)
1 Tb 0.1108 0.1108 0.4012
2 Tb 0.3164 0.3164 0.8941
3 Tb 0.6836 0.6836 0.1059
4 Tb 0.8892 0.8892 0.5988
5 Se 0.0000 0.0000 0.0000
6 Se 0.3857 0.3857 0.2796
7 Se 0.6143 0.6143 0.7204
8 O 0.3115 0.3115 0.6303
9 O 0.6885 0.6885 0.3697

Top 10 peaks for 10 to 80 degrees two-theta, in order of rising 2θ:
2θ = 24.84°, intensity 127
2θ = 30.62°, intensity 565
2θ = 31.09°, intensity 1000
2θ = 32.96°, intensity 164
2θ = 33.78°, intensity 147
2θ = 37.33°, intensity 492
2θ = 46.65°, intensity 205
2θ = 50.31°, intensity 251
2θ = 56.84°, intensity 196
2θ = 63.74°, intensity 132

***

Computed powder XRD pattern of ZnSn4Mo for CuKα, from a DFT-relaxed cell (PBE, Alexandria).
Neutral-atom scattering factors, no anomalous dispersion.

Crystal structure
Cell lengths 7.3811, 7.3811, 7.3811 Å; angles 122.84, 122.84, 85.15 degrees
Element x y z (fractional)
1 Zn 0.0000 0.0000 0.0000
2 Zn 0.5000 0.5000 0.0000
3 Sn 0.0137 0.5137 0.8112
4 Sn 0.2025 0.0137 0.5000
5 Sn 0.2975 0.7975 0.8112
6 Sn 0.4863 0.2975 0.5000
7 Sn 0.5137 0.7025 0.5000
8 Sn 0.7025 0.2025 0.1888
9 Sn 0.7975 0.9863 0.5000
10 Sn 0.9863 0.4863 0.1888
11 Mo 0.2500 0.2500 0.0000
12 Mo 0.7500 0.7500 0.0000

Top 10 peaks for 10 to 80 degrees two-theta, in order of rising 2θ:
2θ = 29.45°, intensity 949
2θ = 37.68°, intensity 426
2θ = 37.79°, intensity 1000
2θ = 40.39°, intensity 704
2θ = 41.95°, intensity 375
2θ = 59.71°, intensity 154
2θ = 62.76°, intensity 243
2θ = 65.79°, intensity 316
2θ = 67.17°, intensity 244
2θ = 77.38°, intensity 238

***

Computed powder XRD pattern of CePm2In2Ag2 for CuKα, from a DFT-relaxed cell (PBE, Alexandria).
Neutral-atom scattering factors, no anomalous dispersion.

Crystal structure
Cell lengths 9.4022, 9.4022, 9.4022 Å; angles 30.42, 30.42, 30.42 degrees
Element x y z (fractional)
1 Ce 0.0000 0.0000 0.0000
2 Pm 0.1256 0.1256 0.1256
3 Pm 0.8744 0.8744 0.8744
4 In 0.2627 0.2627 0.2627
5 In 0.7373 0.7373 0.7373
6 Ag 0.3981 0.3981 0.3981
7 Ag 0.6019 0.6019 0.6019

Top 10 peaks for 10 to 80 degrees two-theta, in order of rising 2θ:
2θ = 19.82°, intensity 108
2θ = 31.32°, intensity 527
2θ = 33.94°, intensity 768
2θ = 36.42°, intensity 1000
2θ = 48.78°, intensity 151
2θ = 50.64°, intensity 244
2θ = 62.38°, intensity 143
2θ = 63.97°, intensity 239
2θ = 64.24°, intensity 294
2θ = 65.55°, intensity 173

***

Computed powder XRD pattern of Pr3HgOs for CuKα, from a DFT-relaxed cell (PBE, Alexandria).
Neutral-atom scattering factors, no anomalous dispersion.

Crystal structure
Cell lengths 9.6367, 8.8183, 6.1474 Å; angles 77.92, 63.48, 38.59 degrees
Element x y z (fractional)
1 Pr 0.1988 0.1988 0.8012
2 Pr 0.2001 0.5808 0.4192
3 Pr 0.4192 0.7999 0.2001
4 Pr 0.5808 0.2001 0.7999
5 Pr 0.7999 0.4192 0.5808
6 Pr 0.8012 0.8012 0.1988
7 Hg 0.2108 0.7892 0.7892
8 Hg 0.7892 0.2108 0.2108
9 Os 0.2500 0.2500 0.2500
10 Os 0.7500 0.7500 0.7500

Top 10 peaks for 10 to 80 degrees two-theta, in order of rising 2θ:
2θ = 20.42°, intensity 301
2θ = 27.94°, intensity 163
2θ = 29.75°, intensity 388
2θ = 31.71°, intensity 331
2θ = 33.66°, intensity 1000
2θ = 34.55°, intensity 529
2θ = 34.89°, intensity 226
2θ = 37.44°, intensity 377
2θ = 41.53°, intensity 210
2θ = 54.48°, intensity 280

***

Computed powder XRD pattern of RuRh4W for CuKα, from a DFT-relaxed cell (PBE, Alexandria).
Neutral-atom scattering factors, no anomalous dispersion.

Crystal structure
Cell lengths 7.7229, 7.7229, 4.6820 Å; angles 90.17, 90.17, 140.39 degrees
Element x y z (fractional)
1 Ru 0.1396 0.8604 0.7500
2 Ru 0.8604 0.1396 0.2500
3 Rh 0.0492 0.4491 0.7323
4 Rh 0.2173 0.2725 0.8748
5 Rh 0.2725 0.2173 0.3748
6 Rh 0.4491 0.0492 0.2323
7 Rh 0.5509 0.9508 0.7677
8 Rh 0.7275 0.7827 0.6252
9 Rh 0.7827 0.7275 0.1252
10 Rh 0.9508 0.5509 0.2677
11 W 0.3612 0.6388 0.2500
12 W 0.6388 0.3612 0.7500

Top 10 peaks for 10 to 80 degrees two-theta, in order of rising 2θ:
2θ = 22.59°, intensity 165
2θ = 37.12°, intensity 216
2θ = 38.46°, intensity 471
2θ = 40.48°, intensity 271
2θ = 41.30°, intensity 650
2θ = 41.59°, intensity 654
2θ = 42.00°, intensity 1000
2θ = 42.59°, intensity 772
2θ = 42.92°, intensity 170
2θ = 46.31°, intensity 190

***

Computed powder XRD pattern of Np3Tl3ZnSe8 for CuKα, from a DFT-relaxed cell (PBE, Alexandria).
Neutral-atom scattering factors, no anomalous dispersion.

Crystal structure
Cell lengths 8.1542, 8.2861, 9.1231 Å; angles 63.69, 63.51, 60.67 degrees
Element x y z (fractional)
1 Np 0.0000 0.0000 0.0000
2 Np 0.0000 0.5000 0.0000
3 Np 0.5000 0.0000 0.0000
4 Tl 0.0000 0.5000 0.5000
5 Tl 0.5000 0.0000 0.5000
6 Tl 0.5000 0.5000 0.5000
7 Zn 0.5000 0.5000 0.0000
8 Se 0.2356 0.2363 0.7929
9 Se 0.2473 0.7231 0.8084
10 Se 0.2561 0.7824 0.2051
11 Se 0.2810 0.2795 0.1900
12 Se 0.7190 0.7205 0.8100
13 Se 0.7439 0.2176 0.7949
14 Se 0.7527 0.2769 0.1916
15 Se 0.7644 0.7637 0.2071

Top 10 peaks for 10 to 80 degrees two-theta, in order of rising 2θ:
2θ = 11.32°, intensity 169
2θ = 14.56°, intensity 171
2θ = 22.74°, intensity 182
2θ = 26.25°, intensity 189
2θ = 29.13°, intensity 534
2θ = 29.36°, intensity 1000
2θ = 39.44°, intensity 182
2θ = 39.95°, intensity 384
2θ = 43.66°, intensity 365
2θ = 44.44°, intensity 173

***

Computed powder XRD pattern of LaTl2Co for CuKα, from a DFT-relaxed cell (PBE, Alexandria).
Neutral-atom scattering factors, no anomalous dispersion.

Crystal structure
Cell lengths 5.2805, 5.2805, 4.3697 Å; angles 90.00, 90.00, 121.73 degrees
Element x y z (fractional)
1 La 0.0000 0.0000 0.0000
2 Tl 0.3322 0.6678 0.5000
3 Tl 0.6678 0.3322 0.5000
4 Co 0.5000 0.5000 0.0000

Top 10 peaks for 10 to 80 degrees two-theta, in order of rising 2θ:
2θ = 28.13°, intensity 1000
2θ = 28.50°, intensity 866
2θ = 33.97°, intensity 838
2θ = 34.90°, intensity 624
2θ = 39.91°, intensity 511
2θ = 41.32°, intensity 392
2θ = 44.42°, intensity 269
2θ = 45.41°, intensity 544
2θ = 54.52°, intensity 463
2θ = 55.17°, intensity 338